Structure and calculated powder XRD pattern of CsMgAl (a DFT-relaxed cell (PBE, Alexandria); a wavelength of 1.5418 Å).
No peak broadening, texture or thermal motion is included.

Crystal structure
Lattice parameters (Å, degrees): 9.3977 13.1687 4.4842 90.00 90.00 90.00
Space group Pca2_1 (No. 29)
One atom of each set of equivalent atoms:
Cs 0.0043 0.1990 0.0000 x4
Mg 0.1141 0.4595 0.5043 x4
Al 0.1716 0.6097 0.0019 x4

Principal peaks in the range 2θ = 15–90°, by angle:
| d [Å] | 2θ (°) | I (rel.) | index |
| --- | --- | --- | --- |
| 4.699 | 18.89 | 457 | 2 0 0 |
| 4.390 | 20.23 | 355 | 0 3 0 |
| 3.869 | 22.99 | 1000 | 1 1 1 |
| 3.825 | 23.26 | 434 | 2 2 0 |
| 3.448 | 25.84 | 622 | 1 2 1 |
| 3.208 | 27.81 | 347 | 2 3 0 |
| 2.975 | 30.03 | 414 | 1 3 1 |
| 2.554 | 35.14 | 293 | 1 4 1 |
| 2.521 | 35.62 | 546 | 3 1 1 |
| 2.025 | 44.77 | 390 | 3 4 1 |


Structure and calculated powder XRD pattern of Cs2MgAlSn2 (a DFT-relaxed cell (PBE, Alexandria); a wavelength of 1.5418 Å).
No peak broadening, texture or thermal motion is included.

Crystal structure
Lattice parameters (Å, degrees): 6.9748 18.5756 6.9405 90.00 90.00 90.00
Space group Ibam (No. 72)
One atom of each set of equivalent atoms:
Cs 0.2430 0.1704 0.0000 x8
Mg 0.0000 0.0000 0.2500 x4
Al 0.0000 0.5000 0.2500 x4
Sn 0.2311 0.4151 0.0000 x8

Principal peaks in the range 2θ = 15–90°, by angle:
| d [Å] | 2θ (°) | I (rel.) | index |
| --- | --- | --- | --- |
| 3.487 | 25.54 | 272 | 2 0 0 |
| 3.470 | 25.67 | 278 | 0 0 2 |
| 3.377 | 26.39 | 1000 | 1 4 1 |
| 2.788 | 32.10 | 138 | 2 4 0 |
| 2.780 | 32.20 | 131 | 0 4 2 |
| 2.460 | 36.53 | 330 | 2 0 2 |
| 2.100 | 43.08 | 238 | 1 8 1 |
| 1.992 | 45.55 | 215 | 3 4 1 |
| 1.985 | 45.70 | 226 | 1 4 3 |
| 1.547 | 59.79 | 136 | 0 12 0 |